[1]
Theoretical X-ray powder pattern
Compound: ZrCrAgS4
Radiation: Cu Ka
Structure: a crystal structure in the Materials Project, relaxed with GGA-PBE
Intensities are scaled so that the largest is 100.

```
ZrCrAgS4
1.0
6.1504 0.0000 0.0000
0.0000 3.6172 0.0000
-0.1931 0.0000 6.5740
Zr Cr Ag S
1 1 1 4
Direct
0.0000 0.0000 0.0000
0.5000 0.5000 0.0000
0.5000 0.5000 0.5000
0.1836 0.5000 0.2205
0.3438 0.0000 0.7888
0.6562 0.0000 0.2112
0.8164 0.5000 0.7795
```

Main lines, by intensity (2θ from 10° to 80°):
hkl, Position (°2θ), d [Å], I (rel.)
2 0 -2, 39.5, 2.279, 100
1 1 2, 40.2, 2.245, 90
1 1 0, 28.6, 3.118, 66
1 0 -1, 19.5, 4.558, 53
3 1 0, 51.2, 1.783, 47
0 1 1, 28.2, 3.169, 44
1 0 1, 20.1, 4.426, 41
1 0 0, 14.4, 6.148, 32
2 0 0, 29.0, 3.074, 30
0 0 1, 13.5, 6.574, 25

***

[2]
Theoretical X-ray powder pattern
Compound: TmSbO4
Radiation: Cu Ka
Structure: a crystal structure in the Materials Project, relaxed with GGA-PBE
Intensities are scaled so that the largest is 100.

```
TmSbO4
1.0
7.6241 0.0000 0.0000
0.0000 5.3302 0.0000
-1.1226 0.0000 7.4274
Tm Sb O
4 4 16
Direct
0.1466 0.2267 0.3834
0.1466 0.2733 0.8834
0.8534 0.7267 0.1166
0.8534 0.7733 0.6166
0.3369 0.7345 0.1925
0.3369 0.7655 0.6925
0.6631 0.2345 0.3075
0.6631 0.2655 0.8075
0.1108 0.5316 0.1805
0.1108 0.9684 0.6805
0.1819 0.0224 0.1165
0.1819 0.4776 0.6165
0.3259 0.6118 0.9374
0.3259 0.8882 0.4374
0.4293 0.0937 0.8092
0.4293 0.4063 0.3092
0.5707 0.5937 0.6908
0.5707 0.9063 0.1908
0.6741 0.1118 0.5626
0.6741 0.3882 0.0626
0.8181 0.5224 0.3835
0.8181 0.9776 0.8835
0.8892 0.0316 0.3195
0.8892 0.4684 0.8195
```

Main lines, by intensity (2θ from 10° to 80°):
hkl, Position (°2θ), d [Å], I (rel.)
2 1 0, 29.0, 3.077, 100
0 1 2, 29.3, 3.047, 81
0 2 0, 33.6, 2.665, 27
2 2 2, 50.4, 1.811, 26
1 1 -2, 30.3, 2.954, 25
2 0 2, 36.4, 2.467, 17
2 2 -2, 46.5, 1.952, 17
2 0 -2, 31.2, 2.868, 16
2 0 0, 23.6, 3.769, 14
4 1 2, 60.9, 1.522, 14